Starting from a cell relaxed with PBE, the powder XRD pattern of TiB2Mo was computed for Cu Kα, 1.54184 Å.
Intensities are scaled so that the largest is 100.

Structure:
```
TiB2Mo
1.0
3.0877 0.0000 0.0000
0.0000 1.5900 4.2278
0.0000 -1.5900 4.2278
Ti B Mo
1 2 1
Cartesian
0.0000 0.0000 0.0000
0.0000 0.0000 2.4826
1.5439 0.0000 3.4781
1.5439 0.0000 5.9798
```

The 10 most intense peaks (10° ≤ 2θ ≤ 80°), sorted by position:
d (Å)  Position (°2θ)  intensity
4.228  21.01  30
2.976  30.02  57
2.494  36.02  86
2.143  42.17  100
2.111  42.85  86
1.743  52.51  38
1.590  58.01  15
1.344  69.99  23
1.341  70.21  23
1.246  76.44  29